[1]
Theoretical X-ray diffraction stick pattern of BeTe for Cu Kα, from a DFT-relaxed cell (PBE, Alexandria).
No peak broadening, texture or thermal motion is included.

a = 3.966 Å, b = 3.966 Å, c = 24.782 Å
α = 90.00°, β = 90.00°, γ = 120.00°
Sites, in units of the cell vectors:
Be  0.000  0.000  0.197
Be  0.000  0.000  0.803
Be  0.333  0.667  0.132
Be  0.333  0.667  0.532
Be  0.667  0.333  0.468
Be  0.667  0.333  0.868
Te  0.000  0.000  0.095
Te  0.000  0.000  0.905
Te  0.333  0.667  0.234
Te  0.333  0.667  0.431
Te  0.667  0.333  0.569
Te  0.667  0.333  0.766

Most intense lines, 5 to 70 degrees two-theta, low angle first:
- d = 8.261 Å, I 38
- d = 4.130 Å, I 55
- d = 3.402 Å, I 100
- d = 3.004 Å, I 58
- d = 2.823 Å, I 78
- d = 2.010 Å, I 34
- d = 1.983 Å, I 34
- d = 1.884 Å, I 22
- d = 1.787 Å, I 32
- d = 1.412 Å, I 19

[2]
Theoretical X-ray diffraction stick pattern of MgZnF5 for Cu Kα, from a DFT-relaxed cell (PBE, Alexandria).
No peak broadening, texture or thermal motion is included.

a = 3.743 Å, b = 6.402 Å, c = 7.716 Å
α = 90.00°, β = 90.00°, γ = 90.00°
Sites, in units of the cell vectors:
Mg  0.000  0.000  0.000
Mg  0.500  0.500  0.500
Zn  0.000  0.000  0.500
Zn  0.500  0.500  0.000
F  0.000  0.000  0.247
F  0.000  0.000  0.753
F  0.000  0.316  0.500
F  0.000  0.500  0.000
F  0.000  0.684  0.500
F  0.500  0.000  0.500
F  0.500  0.184  0.000
F  0.500  0.500  0.253
F  0.500  0.500  0.747
F  0.500  0.816  0.000

Most intense lines, 5 to 70 degrees two-theta, low angle first:
- d = 4.927 Å, I 59
- d = 3.858 Å, I 100
- d = 3.368 Å, I 43
- d = 3.232 Å, I 93
- d = 3.201 Å, I 76
- d = 2.057 Å, I 25
- d = 1.929 Å, I 36
- d = 1.872 Å, I 33
- d = 1.854 Å, I 40
- d = 1.656 Å, I 25

[3]
Theoretical X-ray diffraction stick pattern of Tb2PaN for Cu Kα, from a DFT-relaxed cell (PBE, Alexandria).
No peak broadening, texture or thermal motion is included.

a = 3.332 Å, b = 3.332 Å, c = 28.295 Å
α = 90.00°, β = 90.00°, γ = 120.00°
Sites, in units of the cell vectors:
Tb  0.000  0.000  0.118
Tb  0.000  0.000  0.882
Tb  0.333  0.667  0.549
Tb  0.333  0.667  0.784
Tb  0.667  0.333  0.216
Tb  0.667  0.333  0.451
Pa  0.000  0.000  0.000
Pa  0.333  0.667  0.667
Pa  0.667  0.333  0.333
N  0.000  0.000  0.500
N  0.333  0.667  0.167
N  0.667  0.333  0.833

Most intense lines, 5 to 70 degrees two-theta, low angle first:
- d = 3.144 Å, I 55
- d = 2.871 Å, I 100
- d = 2.827 Å, I 35
- d = 2.348 Å, I 36
- d = 2.236 Å, I 72
- d = 2.020 Å, I 27
- d = 1.666 Å, I 31
- d = 1.508 Å, I 16
- d = 1.472 Å, I 36
- d = 1.441 Å, I 31

[4]
Theoretical X-ray diffraction stick pattern of La6Tb2PrNd for Cu Kα, from a DFT-relaxed cell (PBE, Alexandria).
No peak broadening, texture or thermal motion is included.

a = 6.737 Å, b = 6.737 Å, c = 9.016 Å
α = 100.73°, β = 100.73°, γ = 65.21°
Sites, in units of the cell vectors:
La  0.098  0.546  0.200
La  0.138  0.138  0.436
La  0.454  0.902  0.800
La  0.546  0.098  0.200
La  0.862  0.862  0.564
La  0.902  0.454  0.800
Tb  0.407  0.407  0.842
Tb  0.593  0.593  0.158
Pr  0.000  0.000  0.000
Nd  0.500  0.500  0.500

Most intense lines, 5 to 70 degrees two-theta, low angle first:
- d = 3.372 Å, I 42
- d = 3.123 Å, I 28
- d = 3.036 Å, I 55
- d = 2.983 Å, I 100
- d = 2.928 Å, I 85
- d = 2.899 Å, I 64
- d = 2.799 Å, I 56
- d = 2.772 Å, I 68
- d = 2.618 Å, I 31
- d = 1.686 Å, I 29

[5]
Theoretical X-ray diffraction stick pattern of K4Th3NiSe8 for Cu Kα, from a DFT-relaxed cell (PBE, Alexandria).
No peak broadening, texture or thermal motion is included.

a = 8.609 Å, b = 8.609 Å, c = 9.186 Å
α = 118.31°, β = 118.31°, γ = 57.67°
Sites, in units of the cell vectors:
K  0.000  0.000  0.000
K  0.000  0.500  0.000
K  0.500  0.000  0.000
K  0.500  0.500  0.000
Th  0.000  0.000  0.500
Th  0.000  0.500  0.500
Th  0.500  0.000  0.500
Ni  0.500  0.500  0.500
Se  0.235  0.235  0.717
Se  0.248  0.248  0.277
Se  0.251  0.714  0.691
Se  0.286  0.749  0.309
Se  0.714  0.251  0.691
Se  0.749  0.286  0.309
Se  0.752  0.752  0.723
Se  0.765  0.765  0.283

Most intense lines, 5 to 70 degrees two-theta, low angle first:
- d = 7.724 Å, I 100
- d = 3.589 Å, I 17
- d = 3.170 Å, I 53
- d = 3.076 Å, I 95
- d = 2.444 Å, I 22
- d = 2.289 Å, I 17
- d = 2.269 Å, I 35
- d = 2.150 Å, I 37
- d = 2.076 Å, I 24
- d = 1.737 Å, I 18

[6]
Theoretical X-ray diffraction stick pattern of TbYNiRu for Cu Kα, from a DFT-relaxed cell (PBE, Alexandria).
No peak broadening, texture or thermal motion is included.

a = 3.417 Å, b = 4.804 Å, c = 4.817 Å
α = 90.00°, β = 90.00°, γ = 90.00°
Sites, in units of the cell vectors:
Tb  0.000  0.000  0.000
Y  0.000  0.500  0.500
Ni  0.500  0.000  0.500
Ru  0.500  0.500  0.000

Most intense lines, 5 to 70 degrees two-theta, low angle first:
- d = 4.817 Å, I 8
- d = 3.402 Å, I 4
- d = 2.785 Å, I 4
- d = 2.410 Å, I 100
- d = 2.402 Å, I 20
- d = 1.709 Å, I 7
- d = 1.701 Å, I 14
- d = 1.393 Å, I 14
- d = 1.391 Å, I 14
- d = 1.388 Å, I 14